Mg6GaSb: computed powder diffractogram (Cu Kα (λ = 1.5418 Å)), based on a cell relaxed with PBE.
Intensities are scaled so that the largest is 100.

The 6 most intense peaks (10° ≤ 2θ ≤ 90°), by angle:
2θ/deg  I/Imax  hkl
15.84  42.0  0 0 2
23.90  42.4  1 0 2
32.24  35.0  0 2 2
35.95  34.5  2 0 0
36.83  51.0  1 0 4
37.04  100.0  1 2 2

Structure:
Unit cell a=4.9966 b=6.3978 c=11.1868 alpha=90.00 beta=90.00 gamma=90.00
Space group Amm2 (No. 38)
Inequivalent atoms, fractional coordinates:
Mg1 0.0000 0.0000 0.0000
Mg2 0.0000 0.0000 0.4940
Mg3 0.0000 0.2367 0.2485
Mg4 0.5000 0.2488 0.9149
Ga1 0.5000 0.0000 0.1595
Sb1 0.5000 0.0000 0.6667